Structure and computed powder diffractogram of LaMgTiCrO6 (a cell relaxed with PBE+U; Cu Kα (weighted mean of Kα1 and Kα2)).
Neutral-atom scattering factors, no anomalous dispersion.

Peak list (10 most intense, 10 to 80 degrees two-theta, sorted by position)
(hkl), two_theta, I (rel.)
0 1 1, 19.82, 36.8
1 0 -2, 20.15, 36.2
0 2 0, 32.53, 23.5
1 1 -3, 32.90, 100.0
2 0 -2, 33.37, 21.6
2 1 -1, 39.11, 19.4
0 0 4, 47.15, 16.0
2 2 -2, 47.29, 29.0
1 3 -3, 58.28, 15.7
3 1 -5, 59.35, 24.3

Structure:
Unit cell a=5.370 b=5.505 c=9.390 alpha=90.00 beta=124.80 gamma=90.00
Space group Pc (No. 7)
Symmetry-distinct sites (fractional):
La 0.000 0.213 0.000 x2
Mg 0.523 0.297 0.498 x2
Ti 0.760 0.256 0.252 x2
Cr 0.257 0.249 0.750 x2
O 0.129 0.229 0.497 x2
O 0.435 0.294 0.003 x2
O 0.508 0.059 0.307 x2
O 0.590 0.473 0.801 x2
O 0.886 0.052 0.692 x2
O 0.989 0.469 0.204 x2

Structure and computed powder diffractogram of La2MnCrO6 (a cell relaxed with PBE+U; Cu Kα (weighted mean of Kα1 and Kα2)).
Neutral-atom scattering factors, no anomalous dispersion.

Peak list (10 most intense, 10 to 80 degrees two-theta, sorted by position)
(hkl), two_theta, I (rel.)
0 0 2, 22.91, 18.2
0 2 0, 31.32, 46.0
1 1 2, 31.48, 53.7
2 0 0, 31.83, 100.0
-1 1 2, 32.55, 94.1
2 2 0, 43.91, 29.4
2 -2 0, 46.58, 23.2
0 0 4, 46.81, 28.2
3 -1 2, 57.63, 19.8
2 0 -4, 57.90, 20.8

Structure:
Unit cell a=5.631 b=5.722 c=7.763 alpha=89.54 beta=89.55 gamma=86.79
Space group P-1 (No. 2)
Symmetry-distinct sites (fractional):
La 0.005 0.043 0.250 x2
La 0.488 0.543 0.250 x2
Mn 0.000 0.500 0.000 x1
Mn 0.500 0.000 0.500 x1
Cr 0.000 0.500 0.500 x1
Cr 0.500 0.000 0.000 x1
O 0.083 0.522 0.753 x2
O 0.199 0.778 0.454 x2
O 0.222 0.804 0.044 x2
O 0.288 0.297 0.042 x2
O 0.296 0.287 0.455 x2
O 0.416 0.024 0.746 x2

Structure and computed powder diffractogram of La2MnCrO6 (a cell relaxed with PBE+U; Cu Kα (weighted mean of Kα1 and Kα2)).
Neutral-atom scattering factors, no anomalous dispersion.

Peak list (10 most intense, 10 to 80 degrees two-theta, sorted by position)
(hkl), two_theta, I (rel.)
1 1 -1, 22.13, 33.0
0 2 0, 31.20, 47.0
2 0 -2, 31.80, 51.4
1 1 1, 32.05, 100.0
1 1 -3, 32.31, 95.2
2 2 -2, 45.15, 52.8
0 0 4, 47.13, 28.2
3 1 -1, 56.66, 23.0
3 1 -5, 57.14, 22.2
2 0 2, 57.63, 29.0

Structure:
Unit cell a=5.628 b=5.733 c=9.499 alpha=90.00 beta=125.71 gamma=90.00
Space group P2_1/c (No. 14)
Symmetry-distinct sites (fractional):
La 0.240 0.043 0.250 x4
Mn 0.500 0.000 0.000 x2
Cr 0.000 0.000 0.500 x2
O 0.162 0.210 0.959 x4
O 0.246 0.701 0.958 x4
O 0.334 0.020 0.757 x4

Structure and computed powder diffractogram of LaMnCrO6 (a cell relaxed with PBE+U; Cu Kα (weighted mean of Kα1 and Kα2)).
Neutral-atom scattering factors, no anomalous dispersion.

Peak list (10 most intense, 10 to 80 degrees two-theta, sorted by position)
(hkl), two_theta, I (rel.)
0 0 1, 19.67, 48.9
1 0 0, 20.23, 50.3
0 1 1, 20.39, 100.0
1 0 1, 32.41, 37.7
1 1 -1, 32.68, 36.6
0 1 2, 33.36, 67.8
1 2 1, 33.52, 34.0
2 1 0, 34.04, 33.1
0 2 0, 46.32, 30.7
2 0 -2, 48.49, 27.0

Structure:
Unit cell a=5.268 b=5.351 c=5.378 alpha=61.54 beta=89.77 gamma=60.79
Space group P1 (No. 1)
Symmetry-distinct sites (fractional):
La 0.000 0.000 0.000 x1
Mn 0.258 0.493 0.756 x1
Cr 0.760 0.485 0.272 x1
O 0.457 0.540 0.432 x1
O 0.465 0.032 0.938 x1
O 0.541 0.492 0.958 x1
O 0.943 0.575 0.460 x1
O 0.998 0.538 0.987 x1
O 0.999 0.038 0.484 x1

Structure and computed powder diffractogram of LaMn3Cr4O12 (a cell relaxed with PBE+U; Cu Kα (weighted mean of Kα1 and Kα2)).
Neutral-atom scattering factors, no anomalous dispersion.

Peak list (10 most intense, 10 to 80 degrees two-theta, sorted by position)
(hkl), two_theta, I (rel.)
1 1 0, 16.64, 14.0
2 1 1, 29.03, 5.0
2 2 0, 33.65, 100.0
3 0 1, 37.76, 12.8
2 2 2, 41.52, 5.2
3 1 2, 45.02, 12.2
4 0 0, 48.32, 25.7
4 2 2, 60.17, 48.2
4 3 1, 62.90, 3.6
4 4 0, 70.74, 12.0

Structure:
Unit cell a=7.534 b=7.534 c=7.534 alpha=90.00 beta=90.00 gamma=90.00
Space group Im-3 (No. 204)
Symmetry-distinct sites (fractional):
La 0.000 0.000 0.000 x2
Mn 0.000 0.000 0.500 x6
Cr 0.250 0.250 0.250 x8
O 0.000 0.309 0.175 x24

Structure and computed powder diffractogram of Sr3LaMnCrO8 (a cell relaxed with PBE+U; Cu Kα (weighted mean of Kα1 and Kα2)).
Neutral-atom scattering factors, no anomalous dispersion.

Peak list (10 most intense, 10 to 80 degrees two-theta, sorted by position)
(hkl), two_theta, I (rel.)
1 1 1, 24.00, 13.9
1 1 3, 31.43, 100.0
2 0 0, 32.64, 72.4
0 0 6, 43.21, 14.6
2 0 4, 43.81, 30.2
2 2 0, 46.83, 39.3
2 0 6, 55.18, 15.4
1 3 3, 57.43, 18.2
3 1 3, 57.54, 18.1
2 2 6, 65.60, 14.7

Structure:
Unit cell a=5.481 b=5.494 c=12.563 alpha=90.00 beta=90.00 gamma=90.00
Space group Amm2 (No. 38)
Symmetry-distinct sites (fractional):
Sr 0.000 0.000 0.000 x2
Sr 0.000 0.000 0.286 x2
Sr 0.500 0.000 0.497 x2
La 0.500 0.000 0.783 x2
Mn 0.000 0.000 0.640 x2
Cr 0.500 0.000 0.140 x2
O 0.000 0.000 0.486 x2
O 0.000 0.000 0.802 x2
O 0.248 0.241 0.645 x8
O 0.500 0.000 0.303 x2
O 0.500 0.000 0.972 x2

Structure and computed powder diffractogram of LaMnZnCrO6 (a cell relaxed with PBE+U; Cu Kα (weighted mean of Kα1 and Kα2)).
Neutral-atom scattering factors, no anomalous dispersion.

Peak list (10 most intense, 10 to 80 degrees two-theta, sorted by position)
(hkl), two_theta, I (rel.)
0 1 1, 19.98, 8.3
0 2 0, 32.85, 23.3
1 1 1, 33.14, 100.0
2 0 -2, 33.60, 21.7
0 0 4, 47.45, 14.3
2 2 -2, 47.70, 26.2
1 3 -3, 58.83, 15.6
0 2 4, 58.91, 10.9
3 1 -1, 59.69, 11.0
3 1 -5, 59.88, 11.2

Structure:
Unit cell a=5.335 b=5.454 c=9.320 alpha=90.00 beta=124.68 gamma=90.00
Space group Pc (No. 7)
Symmetry-distinct sites (fractional):
La 0.000 0.218 0.000 x2
Mn 0.759 0.255 0.250 x2
Zn 0.523 0.291 0.498 x2
Cr 0.259 0.251 0.749 x2
O 0.129 0.230 0.495 x2
O 0.437 0.298 0.005 x2
O 0.513 0.056 0.307 x2
O 0.594 0.480 0.805 x2
O 0.888 0.049 0.693 x2
O 0.982 0.471 0.201 x2

Structure and computed powder diffractogram of Sr3LaCr2Mo2O12 (a cell relaxed with PBE+U; Cu Kα (weighted mean of Kα1 and Kα2)).
Neutral-atom scattering factors, no anomalous dispersion.

Peak list (10 most intense, 10 to 80 degrees two-theta, sorted by position)
(hkl), two_theta, I (rel.)
2 0 0, 31.23, 24.0
1 1 -2, 31.64, 100.0
0 2 0, 31.96, 24.1
2 2 0, 45.30, 33.3
0 0 4, 45.40, 15.4
3 1 -2, 55.76, 10.7
3 1 2, 55.96, 15.6
0 2 4, 56.60, 10.1
1 3 2, 56.76, 18.7
2 2 -4, 65.97, 8.8

Structure:
Unit cell a=5.727 b=5.600 c=7.991 alpha=90.00 beta=90.23 gamma=90.00
Space group Pm (No. 6)
Symmetry-distinct sites (fractional):
Sr 0.000 0.000 0.000 x1
Sr 0.009 0.000 0.489 x1
Sr 0.512 0.500 0.998 x1
La 0.512 0.500 0.480 x1
Cr 0.010 0.500 0.744 x1
Cr 0.507 0.000 0.244 x1
Mo 0.010 0.500 0.242 x1
Mo 0.509 0.000 0.745 x1
O 0.068 0.500 0.991 x1
O 0.265 0.251 0.706 x2
O 0.271 0.256 0.284 x2
O 0.447 0.000 0.993 x1
O 0.566 0.000 0.495 x1
O 0.747 0.253 0.221 x2
O 0.757 0.246 0.773 x2
O 0.936 0.500 0.498 x1